Entry 1:
Calculated powder diffractogram of FeCu2Ag for Cu Kα, 1.54184 Å, from DFT lattice parameters and positions (PBE).
Intensities are scaled so that the largest is 100.

Structure:
Unit cell a=2.684 b=2.684 c=7.501 alpha=90.00 beta=90.00 gamma=90.00
Element x y z (fractional)
Fe (0.000, 0.000, 0.000)
Cu (0.000, 0.000, 0.547)
Cu (0.500, 0.500, 0.772)
Ag (0.500, 0.500, 0.277)

Peak list (10 most intense, 2θ from 5° to 70°, in order of rising 2θ)
2θ/deg	I_rel
11.80	4.1
23.72	4.0
33.39	2.8
35.53	6.5
35.92	3.9
41.37	100.0
47.94	33.0
48.55	13.7
60.20	1.9
61.32	3.0

---

Entry 2:
Calculated powder diffractogram of Pr2TlIn4 for Cu Kα, 1.54184 Å, from DFT lattice parameters and positions (PBE).
Intensities are scaled so that the largest is 100.

Structure:
Unit cell a=6.526 b=6.526 c=6.721 alpha=118.96 beta=118.96 gamma=90.00
Element x y z (fractional)
Pr (0.000, 0.500, 0.000)
Pr (0.500, 0.000, 0.000)
Tl (0.000, 0.000, 0.000)
In (0.000, 0.000, 0.500)
In (0.000, 0.500, 0.500)
In (0.500, 0.000, 0.500)
In (0.500, 0.500, 0.500)

Peak list (10 most intense, 2θ from 5° to 70°, in order of rising 2θ)
2θ/deg	I_rel
16.32	23.8
32.00	9.5
32.98	100.0
36.70	18.7
39.04	31.5
54.63	17.6
54.73	5.8
56.39	10.7
63.75	14.6
66.90	25.3

---

Entry 3:
Calculated powder diffractogram of Nd2Tl3InSe6 for Cu Kα, 1.54184 Å, from DFT lattice parameters and positions (PBE).
Intensities are scaled so that the largest is 100.

Structure:
Unit cell a=7.367 b=7.367 c=8.153 alpha=98.75 beta=98.75 gamma=119.92
Element x y z (fractional)
Nd (0.166, 0.834, 0.000)
Nd (0.834, 0.166, 0.000)
Tl (0.000, 0.000, 0.500)
Tl (0.328, 0.672, 0.500)
Tl (0.672, 0.328, 0.500)
In (0.500, 0.500, 0.000)
Se (0.114, 0.432, 0.795)
Se (0.251, 0.251, 0.213)
Se (0.432, 0.114, 0.795)
Se (0.568, 0.886, 0.205)
Se (0.749, 0.749, 0.787)
Se (0.886, 0.568, 0.205)

Peak list (10 most intense, 2θ from 5° to 70°, in order of rising 2θ)
2θ/deg	I_rel
22.90	9.4
25.35	18.1
28.66	100.0
39.43	37.7
42.49	35.4
48.81	8.1
52.06	18.6
59.40	7.3
65.07	9.3
69.42	13.1